Theoretical powder diffractogram of KMnO2 for Cu Kα, 1.54184 Å, from a GGA+U-relaxed structure.
Neutral-atom scattering factors, no anomalous dispersion.

Cell lengths 12.0949, 2.9653, 6.9000 Å; angles 90.00, 90.00, 90.00 degrees
Element x y z (fractional)
K 0.1415 0.2500 0.1176
K 0.3585 0.7500 0.6176
K 0.6415 0.2500 0.3824
K 0.8585 0.7500 0.8824
Mn 0.0851 0.2500 0.6244
Mn 0.4149 0.7500 0.1244
Mn 0.5851 0.2500 0.8756
Mn 0.9149 0.7500 0.3756
O 0.0977 0.7500 0.4351
O 0.0987 0.7500 0.8063
O 0.4013 0.2500 0.3063
O 0.4023 0.2500 0.9351
O 0.5977 0.7500 0.0649
O 0.5987 0.7500 0.6937
O 0.9013 0.2500 0.1937
O 0.9023 0.2500 0.5649

Principal peaks in the range 2θ = 10–80°, low angle first:
- 2θ = 14.65°, rel. 39.2, hkl 2 0 0
- 2θ = 14.78°, rel. 45.6, hkl 1 0 1
- 2θ = 26.87°, rel. 42.0, hkl 1 0 2
- 2θ = 29.54°, rel. 67.7, hkl 4 0 0
- 2θ = 32.33°, rel. 29.3, hkl 4 0 1
- 2θ = 33.66°, rel. 35.9, hkl 2 1 0
- 2θ = 34.21°, rel. 27.5, hkl 3 0 2
- 2θ = 40.81°, rel. 100.0, hkl 1 1 2
- 2θ = 55.82°, rel. 28.4, hkl 5 1 2
- 2θ = 64.35°, rel. 21.2, hkl 2 1 4